Entry 1:
For K4LiBr4, a PBE-relaxed structure gives the computed powder XRD pattern in this record (copper Kα).
No peak broadening, texture or thermal motion is included.

Peak list (8 most intense, 10 to 80 degrees two-theta, in order of rising 2θ)
| two_theta | I/Imax |
| --- | --- |
| 22.06 | 32 |
| 25.13 | 40 |
| 25.73 | 100 |
| 31.52 | 34 |
| 36.28 | 53 |
| 36.70 | 34 |
| 45.00 | 23 |
| 56.29 | 22 |

Structure:
Cell lengths 9.794, 9.794, 7.086 Å; angles 90.00, 90.00, 90.00 degrees
Space group P4_2/nmc (No. 137, origin choice 2)
Inequivalent atoms, fractional coordinates:
K 0.024 0.250 0.062 x8
Li 0.250 0.750 0.250 x2
Br 0.034 0.750 0.457 x8

=====

Entry 2:
For Sr3CdRh, a PBE-relaxed structure gives the computed powder XRD pattern in this record (copper Kα).
No peak broadening, texture or thermal motion is included.

Peak list (8 most intense, 10 to 80 degrees two-theta, in order of rising 2θ)
| two_theta | I/Imax |
| --- | --- |
| 19.71 | 34 |
| 26.65 | 58 |
| 27.32 | 35 |
| 27.79 | 33 |
| 29.10 | 77 |
| 29.30 | 31 |
| 31.96 | 100 |
| 47.60 | 32 |

Structure:
Cell lengths 7.668, 5.600, 8.445 Å; angles 90.00, 98.88, 90.00 degrees
Space group Pm (No. 6)
Inequivalent atoms, fractional coordinates:
Sr 0.000 0.000 0.000 x1
Sr 0.008 0.500 0.317 x1
Sr 0.298 0.000 0.614 x1
Sr 0.462 0.000 0.137 x1
Sr 0.572 0.500 0.865 x1
Sr 0.778 0.000 0.558 x1
Cd 0.077 0.500 0.765 x1
Cd 0.475 0.500 0.374 x1
Rh 0.247 0.500 0.079 x1
Rh 0.633 0.000 0.843 x1